# Pr4Nd2SmCd2
Theoretical XRD peak list, Cu Kα, 1.54184 Å. Input: the GGA-PBE geometry in Alexandria.

Crystal structure
a = 6.2429 Å, b = 6.3421 Å, c = 8.4226 Å
α = 68.01°, β = 72.79°, γ = 81.19°
Space group P-1 (No. 2)
One atom of each set of equivalent atoms:
Pr1 0.0665 0.1916 0.2787
Pr2 0.1913 0.2234 0.8496
Nd1 0.2722 0.5949 0.3767
Sm1 0.5000 0.0000 0.5000
Cd1 0.3512 0.6824 0.9265

Most intense lines, 2θ from 5° to 70°, in order of falling intensity:
33.4°, I = 100, hkl 1 -1 2; 31.2°, I = 93, hkl 1 0 -2; 30.3°, I = 69, hkl 2 1 1; 32.4°, I = 60, hkl 1 1 3; 34.4°, I = 58, hkl 2 -1 0; 31.4°, I = 51, hkl 0 2 2; 28.5°, I = 38, hkl 0 2 1; 60.4°, I = 36, hkl 3 3 1; 25.5°, I = 27, hkl 1 -1 1; 50.3°, I = 22, hkl 2 3 3

# Mg3BrO
Theoretical XRD peak list, Cu Kα, 1.54184 Å. Input: the GGA-PBE geometry in Alexandria.

Crystal structure
a = 4.5987 Å, b = 4.5987 Å, c = 4.5987 Å
α = 90.00°, β = 90.00°, γ = 90.00°
Space group Pm-3m (No. 221)
One atom of each set of equivalent atoms:
Mg1 0.0000 0.0000 0.5000
Br1 0.5000 0.5000 0.5000
O1 0.0000 0.0000 0.0000

Most intense lines, 2θ from 5° to 70°, in order of falling intensity:
33.8°, I = 100, hkl 1 1 1; 39.2°, I = 75, hkl 2 0 0; 27.4°, I = 70, hkl 1 1 0; 56.6°, I = 48, hkl 2 2 0; 67.6°, I = 40, hkl 3 1 1; 48.5°, I = 26, hkl 2 1 1; 19.3°, I = 22, hkl 1 0 0; 44.0°, I = 11, hkl 2 1 0; 64.0°, I = 11, hkl 3 1 0; 60.4°, I = 6, hkl 3 0 0